Structure and theoretical powder XRD pattern of Zn2AsIr (a structure optimized by DFT (GGA-PBE); copper Kα).

Main lines, in order of rising 2θ (2θ = 10–90°):
2theta	I_rel
19.40	262
19.82	241
38.27	1000
40.26	431
41.62	397
45.53	614
47.18	266
62.57	132
66.69	183
68.61	172

Structure:
Cell lengths 9.0568, 2.9692, 4.6247 Å; angles 90.00, 98.41, 90.00 degrees
Space group C2/m (No. 12)
One atom of each set of equivalent atoms:
Zn 0.2412 0.0000 0.2323 (multiplicity 4)
As 0.0000 0.0000 0.5000 (multiplicity 2)
Ir 0.0000 0.5000 0.0000 (multiplicity 2)

Structure and theoretical powder XRD pattern of ZnAsIr (a structure optimized by DFT (GGA-PBE); copper Kα).

Main lines, in order of rising 2θ (2θ = 10–90°):
2theta	I_rel
15.40	857
33.95	877
43.05	566
43.80	1000
45.98	224
62.51	186
64.81	145
65.95	185
73.08	220
79.44	346

Structure:
Cell lengths 2.9716, 2.9716, 5.7533 Å; angles 90.00, 90.00, 90.00 degrees
Space group P4mm (No. 99)
One atom of each set of equivalent atoms:
Zn 0.0000 0.0000 0.0000 (multiplicity 1)
As 0.0000 0.0000 0.5565 (multiplicity 1)
Ir 0.5000 0.5000 0.3020 (multiplicity 1)

Structure and theoretical powder XRD pattern of ZnAsIr2 (a structure optimized by DFT (GGA-PBE); copper Kα).

Main lines, in order of rising 2θ (2θ = 10–90°):
2theta	I_rel
24.63	229
40.77	1000
48.22	120
59.03	169
64.94	51
74.22	343
79.58	40
88.32	113

Structure:
Cell lengths 6.2596, 6.2596, 6.2596 Å; angles 90.00, 90.00, 90.00 degrees
Space group F-43m (No. 216)
One atom of each set of equivalent atoms:
Zn 0.0000 0.0000 0.0000 (multiplicity 4)
As 0.2500 0.2500 0.7500 (multiplicity 4)
Ir 0.0000 0.0000 0.5000 (multiplicity 4)
Ir 0.2500 0.2500 0.2500 (multiplicity 4)

Structure and theoretical powder XRD pattern of Zn2AsIr (a structure optimized by DFT (GGA-PBE); copper Kα).

Main lines, in order of rising 2θ (2θ = 10–90°):
2theta	I_rel
19.15	284
20.17	201
25.80	156
37.97	1000
41.01	378
41.30	398
45.60	588
46.89	258
67.27	156
67.68	176

Structure:
Cell lengths 8.8986, 2.9953, 4.6852 Å; angles 90.00, 98.38, 90.00 degrees
Space group Cm (No. 8)
One atom of each set of equivalent atoms:
Zn 0.0000 0.0000 0.0000 (multiplicity 2)
Zn 0.2406 0.0000 0.7605 (multiplicity 2)
As 0.4668 0.0000 0.4728 (multiplicity 2)
Ir 0.2446 0.5000 0.2426 (multiplicity 2)